This entry pairs a crystal structure of Dy9Y3Tm2 with its calculated powder XRD pattern. Radiation: Cu Kα, 1.54184 Å. Structure: a DFT-relaxed cell (PBE, Alexandria).
No peak broadening, texture or thermal motion is included.

Most intense lines, 10 to 80 degrees two-theta, low angle first:
two_theta, intensity, index
31.3, 49, 2 -1 0
31.5, 47, 0 3 1
31.8, 100, 1 1 3
33.4, 29, 1 -2 2
33.5, 24, -1 2 2
34.8, 36, 2 2 1
49.1, 14, 1 4 -1
52.5, 12, 2 -4 0
60.4, 12, 3 3 4
62.8, 13, -3 3 2

```
data_Dy9Y3Tm2
_chemical_formula_sum 'Dy9 Y3 Tm2'
_cell_length_a 6.2441
_cell_length_b 8.6461
_cell_length_c 8.7729
_cell_angle_alpha 80.11
_cell_angle_beta 75.64
_cell_angle_gamma 87.66
_symmetry_space_group_name_H-M 'P 1'
_symmetry_Int_Tables_number 1
_symmetry_space_group_name_Hall 'P 1'
loop_
_atom_site_label
_atom_site_fract_x
_atom_site_fract_y
_atom_site_fract_z
Dy1 0.0000 0.0000 0.0000
Dy2 0.0071 0.5414 0.1650
Dy3 0.1307 0.0933 0.5969
Dy4 0.2602 0.1615 0.1978
Dy5 0.3849 0.4541 0.3962
Dy6 0.4491 0.7577 0.6007
Dy7 0.5678 0.0664 0.8089
Dy8 0.6766 0.3714 0.0032
Dy9 0.8167 0.4305 0.5854
Y1 0.2326 0.3827 0.8131
Y2 0.5395 0.7997 0.1715
Y3 0.7042 0.1291 0.3684
Tm1 0.0111 0.8025 0.4011
Tm2 0.8810 0.7231 0.8008
```

---

This entry pairs a crystal structure of HoCdIn6 with its calculated powder XRD pattern. Radiation: Cu Kα, 1.54184 Å. Structure: a DFT-relaxed cell (PBE, Alexandria).
No peak broadening, texture or thermal motion is included.

Most intense lines, 10 to 80 degrees two-theta, low angle first:
two_theta, intensity, index
33.2, 100, 2 2 1
37.1, 18, 0 4 0
38.6, 17, 0 0 2
39.7, 15, 4 0 0
54.6, 12, 0 4 2
55.5, 11, 4 4 0
64.4, 14, 2 6 1
66.4, 13, 2 2 3
67.9, 12, 6 2 1
69.6, 11, 4 4 2

```
data_HoCdIn6
_chemical_formula_sum 'Ho2 Cd2 In12'
_cell_length_a 9.0819
_cell_length_b 9.6929
_cell_length_c 4.6629
_cell_angle_alpha 90.00
_cell_angle_beta 90.00
_cell_angle_gamma 90.00
_symmetry_space_group_name_H-M 'C m m m'
_symmetry_Int_Tables_number 65
_symmetry_space_group_name_Hall '-C 2 2'
loop_
_atom_site_label
_atom_site_fract_x
_atom_site_fract_y
_atom_site_fract_z
Ho1 0.0000 0.0000 0.0000
Cd1 0.0000 0.5000 0.0000
In1 0.0000 0.2420 0.5000
In2 0.2393 0.5000 0.5000
In3 0.2500 0.2500 0.0000
```

---

This entry pairs a crystal structure of Cr2NiPt9 with its calculated powder XRD pattern. Radiation: Cu Kα, 1.54184 Å. Structure: a DFT-relaxed cell (PBE, Alexandria).
No peak broadening, texture or thermal motion is included.

Most intense lines, 10 to 80 degrees two-theta, low angle first:
two_theta, intensity, index
22.8, 14, 1 0 0
32.4, 12, 1 1 0
40.0, 100, 1 1 3
46.4, 33, 2 0 0
46.6, 16, 0 0 6
52.3, 4, 2 1 0
52.4, 2, 1 0 6
57.8, 5, 1 1 6
67.8, 32, 2 2 0
72.6, 3, 2 2 3

```
data_Cr2NiPt9
_chemical_formula_sum 'Cr2 Ni1 Pt9'
_cell_length_a 3.9106
_cell_length_b 3.9106
_cell_length_c 11.7053
_cell_angle_alpha 90.00
_cell_angle_beta 90.00
_cell_angle_gamma 90.00
_symmetry_space_group_name_H-M 'P 4/m m m'
_symmetry_Int_Tables_number 123
_symmetry_space_group_name_Hall '-P 4 2'
loop_
_atom_site_label
_atom_site_fract_x
_atom_site_fract_y
_atom_site_fract_z
Cr1 0.0000 0.0000 0.1698
Ni1 0.0000 0.0000 0.5000
Pt1 0.0000 0.5000 0.0000
Pt2 0.0000 0.5000 0.3338
Pt3 0.5000 0.5000 0.1673
Pt4 0.5000 0.5000 0.5000
```